Record 1
The following is a theoretical X-ray powder pattern of GdHoNi8B2. It was derived from a DFT-relaxed cell (GGA-PBE, OQMD), using CuKα.
Neutral-atom scattering factors, no anomalous dispersion.

Atomic structure:
```
data_GdHoNi8B2
_chemical_formula_sum 'Gd1 Ho1 Ni8 B2'
_symmetry_space_group_name_H-M 'P 6/m m m'
_symmetry_Int_Tables_number 191
_symmetry_space_group_name_Hall '-P 6 2'
_cell_length_a 4.9883
_cell_length_b 4.9883
_cell_length_c 6.9787
_cell_angle_alpha 90.00
_cell_angle_beta 90.00
_cell_angle_gamma 120.00
loop_
_atom_site_label
_atom_site_fract_x
_atom_site_fract_y
_atom_site_fract_z
_atom_site_occupancy
Gd1 0.0000 0.0000 0.0000 1
Ho1 0.0000 0.0000 0.5000 1
Ni1 0.0000 0.5000 0.2085 1
Ni2 0.3333 0.6667 0.5000 1
B1 0.3333 0.6667 0.0000 1
```

Largest 12 diffraction maxima, low angle first, 2θ = 5–70°:
(hkl)  Position (°2θ)  I_rel
1 0 0  20.6  133
1 0 2  33.0  899
1 1 0  36.0  309
1 1 1  38.3  115
0 0 3  38.7  121
2 0 0  41.8  739
2 0 1  43.9  71
1 1 2  44.7  1000
0 0 4  52.4  134
2 1 2  62.8  281
1 1 4  65.3  151
2 0 4  69.2  157


Record 2
The following is a theoretical X-ray powder pattern of GdHoNi8B2. It was derived from a DFT-relaxed cell (GGA-PBE, OQMD), using CuKα.
Neutral-atom scattering factors, no anomalous dispersion.

Atomic structure:
```
data_GdHoNi8B2
_chemical_formula_sum 'Gd1 Ho1 Ni8 B2'
_symmetry_space_group_name_H-M 'P 6/m m m'
_symmetry_Int_Tables_number 191
_symmetry_space_group_name_Hall '-P 6 2'
_cell_length_a 4.9870
_cell_length_b 4.9870
_cell_length_c 6.9780
_cell_angle_alpha 90.00
_cell_angle_beta 90.00
_cell_angle_gamma 120.00
loop_
_atom_site_label
_atom_site_fract_x
_atom_site_fract_y
_atom_site_fract_z
_atom_site_occupancy
Gd1 0.0000 0.0000 0.0000 1
Ho1 0.0000 0.0000 0.5000 1
Ni1 0.0000 0.5000 0.2932 1
Ni2 0.3333 0.6667 0.0000 1
B1 0.3333 0.6667 0.5000 1
```

Largest 12 diffraction maxima, low angle first, 2θ = 5–70°:
(hkl)  Position (°2θ)  I_rel
1 0 0  20.6  134
1 0 2  33.0  896
1 1 0  36.0  311
1 1 1  38.3  95
0 0 3  38.7  117
2 0 0  41.8  743
2 0 1  43.9  92
1 1 2  44.7  1000
0 0 4  52.5  129
2 1 2  62.9  281
1 1 4  65.3  156
2 0 4  69.2  148


Record 3
The following is a theoretical X-ray powder pattern of Gd2Tm2BI5. It was derived from a DFT-relaxed cell (GGA-PBE, OQMD), using CuKα.
Neutral-atom scattering factors, no anomalous dispersion.

Atomic structure:
```
data_Gd2Tm2BI5
_chemical_formula_sum 'Gd4 Tm4 B2 I10'
_symmetry_space_group_name_H-M 'C 1 2/m 1'
_symmetry_Int_Tables_number 12
_cell_length_a 21.552
_cell_length_b 4.043
_cell_length_c 8.659
_cell_angle_alpha 90.00
_cell_angle_beta 101.34
_cell_angle_gamma 90.00
loop_
_symmetry_equiv_pos_as_xyz
'x,y,z'
'-x,-y,-z'
'-x,y,-z'
'x,-y,z'
'x+1/2,y+1/2,z'
'-x+1/2,-y+1/2,-z'
'-x+1/2,y+1/2,-z'
'x+1/2,-y+1/2,z'
loop_
_atom_site_label
_atom_site_fract_x
_atom_site_fract_y
_atom_site_fract_z
_atom_site_occupancy
Gd1 0.000 0.000 0.199 1
Tm1 0.115 0.500 0.057 1
B1 0.000 0.500 0.000 1
I1 0.000 0.500 0.500 1
I2 0.151 0.000 0.323 1
I3 0.152 0.000 0.827 1
```

Largest 12 diffraction maxima, low angle first, 2θ = 5–70°:
(hkl)  Position (°2θ)  I_rel
2 0 0  8.4  646
0 0 1  10.4  352
6 0 0  25.3  299
3 1 1  28.5  180
1 1 -2  30.2  1000
5 1 0  30.6  160
5 1 -1  31.0  190
8 0 0  33.9  183
7 1 -2  39.9  151
2 0 -4  41.7  156
0 2 0  44.8  189
9 1 -2  46.2  151


Record 4
The following is a theoretical X-ray powder pattern of NdGdB2Ir2O2. It was derived from a DFT-relaxed cell (GGA-PBE, OQMD), using CuKα.
Neutral-atom scattering factors, no anomalous dispersion.

Atomic structure:
```
data_NdGdB2Ir2O2
_chemical_formula_sum 'Nd1 Gd1 B2 Ir2 O2'
_symmetry_space_group_name_H-M 'P 4 m m'
_symmetry_Int_Tables_number 99
_cell_length_a 3.842
_cell_length_b 3.842
_cell_length_c 7.405
_cell_angle_alpha 90.00
_cell_angle_beta 90.00
_cell_angle_gamma 90.00
loop_
_symmetry_equiv_pos_as_xyz
'x,y,z'
'-y,x,z'
'-x,-y,z'
'y,-x,z'
'-x,y,z'
'y,x,z'
'x,-y,z'
'-y,-x,z'
loop_
_atom_site_label
_atom_site_fract_x
_atom_site_fract_y
_atom_site_fract_z
_atom_site_occupancy
Nd1 0.000 0.000 0.000 1
Gd1 0.500 0.500 0.632 1
B1 0.000 0.000 0.468 1
B2 0.500 0.500 0.169 1
Ir1 0.000 0.500 0.321 1
O1 0.000 0.000 0.672 1
O2 0.500 0.500 0.961 1
```

Largest 12 diffraction maxima, low angle first, 2θ = 5–70°:
(hkl)  Position (°2θ)  I_rel
0 0 1  12.0  747
1 0 1  26.1  446
1 0 2  33.6  181
1 1 1  35.2  1000
0 0 3  36.4  402
1 1 2  41.2  877
2 0 0  47.3  439
2 0 1  49.0  95
2 1 1  54.9  126
1 1 4  60.5  156
2 0 3  61.1  357
2 2 0  69.2  139


Record 5
The following is a theoretical X-ray powder pattern of NdGdB2P2Ir2. It was derived from a DFT-relaxed cell (GGA-PBE, OQMD), using CuKα.
Neutral-atom scattering factors, no anomalous dispersion.

Atomic structure:
```
data_NdGdB2P2Ir2
_chemical_formula_sum 'Nd1 Gd1 B2 P2 Ir2'
_symmetry_space_group_name_H-M 'P 4 m m'
_symmetry_Int_Tables_number 99
_cell_length_a 3.989
_cell_length_b 3.989
_cell_length_c 8.388
_cell_angle_alpha 90.00
_cell_angle_beta 90.00
_cell_angle_gamma 90.00
loop_
_symmetry_equiv_pos_as_xyz
'x,y,z'
'-y,x,z'
'-x,-y,z'
'y,-x,z'
'-x,y,z'
'y,x,z'
'x,-y,z'
'-y,-x,z'
loop_
_atom_site_label
_atom_site_fract_x
_atom_site_fract_y
_atom_site_fract_z
_atom_site_occupancy
Nd1 0.000 0.000 0.000 1
Gd1 0.500 0.500 0.611 1
B1 0.000 0.000 0.414 1
B2 0.500 0.500 0.192 1
P1 0.000 0.000 0.651 1
P2 0.500 0.500 0.952 1
Ir1 0.000 0.500 0.305 1
```

Largest 12 diffraction maxima, low angle first, 2θ = 5–70°:
(hkl)  Position (°2θ)  I_rel
0 0 1  10.5  854
1 0 1  24.7  384
1 0 2  30.9  105
0 0 3  32.0  499
1 1 1  33.5  948
1 1 2  38.5  1000
2 0 0  45.5  453
2 1 1  52.4  107
1 1 4  54.5  142
2 0 3  56.7  396
1 1 5  64.6  266
2 2 0  66.3  147


Record 6
The following is a theoretical X-ray powder pattern of LaGdNi8B2. It was derived from a DFT-relaxed cell (GGA-PBE, OQMD), using CuKα.
Neutral-atom scattering factors, no anomalous dispersion.

Atomic structure:
```
data_LaGdNi8B2
_chemical_formula_sum 'La1 Gd1 Ni8 B2'
_symmetry_space_group_name_H-M 'P 6/m m m'
_symmetry_Int_Tables_number 191
_symmetry_space_group_name_Hall '-P 6 2'
_cell_length_a 5.0473
_cell_length_b 5.0473
_cell_length_c 7.0243
_cell_angle_alpha 90.00
_cell_angle_beta 90.00
_cell_angle_gamma 120.00
loop_
_atom_site_label
_atom_site_fract_x
_atom_site_fract_y
_atom_site_fract_z
_atom_site_occupancy
La1 0.0000 0.0000 0.0000 1
Gd1 0.0000 0.0000 0.5000 1
Ni1 0.0000 0.5000 0.2961 1
Ni2 0.3333 0.6667 0.0000 1
B1 0.3333 0.6667 0.5000 1
```

Largest 12 diffraction maxima, low angle first, 2θ = 5–70°:
(hkl)  Position (°2θ)  I_rel
1 0 2  32.7  835
1 1 0  35.6  294
0 0 3  38.4  131
2 0 0  41.3  761
2 0 1  43.4  125
1 0 3  43.9  105
1 1 2  44.2  1000
0 0 4  52.1  119
2 1 2  62.1  263
1 1 4  64.7  156
2 0 4  68.5  126
3 0 2  69.9  242


Record 7
The following is a theoretical X-ray powder pattern of Gd6MgTa2B8SeO26. It was derived from a DFT-relaxed cell (GGA-PBE, OQMD), using CuKα.
Neutral-atom scattering factors, no anomalous dispersion.

Atomic structure:
```
data_Gd6MgTa2B8SeO26
_chemical_formula_sum 'Gd6 Mg1 Ta2 B8 Se1 O26'
_symmetry_space_group_name_H-M 'P -3'
_symmetry_Int_Tables_number 147
_cell_length_a 8.0056
_cell_length_b 8.0056
_cell_length_c 8.5800
_cell_angle_alpha 90.00
_cell_angle_beta 90.00
_cell_angle_gamma 120.00
loop_
_symmetry_equiv_pos_as_xyz
'x,y,z'
'-x,-y,-z'
'-y,x-y,z'
'y,-x+y,-z'
'-x+y,-x,z'
'x-y,x,-z'
loop_
_atom_site_label
_atom_site_fract_x
_atom_site_fract_y
_atom_site_fract_z
_atom_site_occupancy
Gd1 0.0964 0.7599 0.3024 1
Mg1 0.0000 0.0000 0.0000 1
Ta1 0.3333 0.6667 0.6188 1
B1 0.1213 0.7113 0.8877 1
B2 0.3333 0.6667 0.0877 1
Se1 0.0000 0.0000 0.5000 1
O1 0.0672 0.8417 0.8408 1
O2 0.1043 0.5707 0.7836 1
O3 0.1481 0.4370 0.5203 1
O4 0.1935 0.7254 0.0365 1
O5 0.3333 0.6667 0.2560 1
```

Largest 12 diffraction maxima, low angle first, 2θ = 5–70°:
(hkl)  Position (°2θ)  I_rel
0 0 1  10.3  669
0 0 2  20.7  211
2 -1 1  24.5  600
2 0 0  25.7  247
0 2 1  27.8  1000
2 -1 2  30.5  461
2 0 2  33.2  761
0 3 1  40.4  426
1 2 3  47.0  258
4 -3 2  52.1  229
4 -1 3  57.8  259
5 -3 2  62.3  209